Diffraction record for La9Co3Au. The powder X-ray diffraction pattern is calculated, not measured: it uses a crystal structure in Alexandria, relaxed with GGA-PBE and Cu Kα.
Kinematic intensities with the Lorentz-polarization factor, no thermal factor.

Most intense lines, 2θ = 10–80°, in order of rising 2θ:
2θ (°)	I/Imax	index
28.2	22	1 0 3
28.3	100	1 3 0
29.0	62	2 0 -2
29.4	69	1 1 3
30.3	38	2 1 -2
32.9	30	1 2 3
33.7	23	0 4 0
44.9	25	3 2 1
51.7	23	1 5 3
55.1	22	0 3 6

Crystal structure
Lattice parameters (Å, degrees): 6.858 10.648 11.404 90.00 96.22 90.00
Space group P2_1/m (No. 11)
Asymmetric unit:
1 La 0.078 0.250 0.201
2 La 0.158 0.575 0.376
3 La 0.208 0.250 0.855
4 La 0.255 0.556 0.042
5 La 0.353 0.250 0.531
6 La 0.353 0.573 0.702
7 Co 0.055 0.007 0.827
8 Co 0.500 0.000 0.500
9 Au 0.474 0.250 0.089